Ni8Ge2B3: computed powder X-ray diffraction pattern (λ = 1.5418 Å (Cu Kα)), based on a DFT-relaxed cell (GGA-PBE, Alexandria).

The 10 most intense peaks (5° ≤ 2θ ≤ 70°), sorted by position:
- d = 2.344 Å, I = 19, hkl 0 4 2
- d = 2.334 Å, I = 55, hkl 1 3 1
- d = 2.152 Å, I = 81, hkl 1 4 1
- d = 2.116 Å, I = 100, hkl 1 0 2
- d = 2.083 Å, I = 33, hkl 1 5 0
- d = 1.987 Å, I = 40, hkl 0 7 1
- d = 1.944 Å, I = 40, hkl 1 3 2
- d = 1.873 Å, I = 22, hkl 0 3 3
- d = 1.775 Å, I = 23, hkl 0 4 3
- d = 1.475 Å, I = 29, hkl 2 0 0

Atomic structure:
abc: 2.9493 14.7184 6.0806
angles: 90.00 90.00 90.00
Space group Pmmn (No. 59, origin choice 2)
Symmetry-distinct sites (fractional):
1 Ni 0.2500 0.0235 0.2012 [4 per cell]
2 Ni 0.2500 0.1045 0.6323 [4 per cell]
3 Ni 0.2500 0.2500 0.0761 [2 per cell]
4 Ni 0.2500 0.6634 0.6586 [4 per cell]
5 Ni 0.2500 0.7500 0.2971 [2 per cell]
6 Ge 0.2500 0.6254 0.0379 [4 per cell]
7 B 0.2500 0.2500 0.4574 [2 per cell]
8 B 0.2500 0.5324 0.5395 [4 per cell]

---

PmSm8Sc3: computed powder X-ray diffraction pattern (λ = 1.5418 Å (Cu Kα)), based on a DFT-relaxed cell (GGA-PBE, Alexandria).

The 10 most intense peaks (5° ≤ 2θ ≤ 70°), sorted by position:
- d = 4.822 Å, I = 12, hkl 1 1 1
- d = 3.074 Å, I = 13, hkl 2 0 0
- d = 2.971 Å, I = 33, hkl 1 3 -1
- d = 2.861 Å, I = 39, hkl 0 0 4
- d = 2.710 Å, I = 100, hkl 1 3 2
- d = 2.701 Å, I = 17, hkl 2 0 2
- d = 2.395 Å, I = 20, hkl 2 0 -3
- d = 1.774 Å, I = 19, hkl 3 3 0
- d = 1.621 Å, I = 21, hkl 1 3 6
- d = 1.510 Å, I = 22, hkl 3 3 -4

Atomic structure:
abc: 6.1395 10.6680 11.4438
angles: 90.00 90.19 90.00
Space group C2 (No. 5)
Symmetry-distinct sites (fractional):
1 Pm 0.0000 0.0000 0.0000 [2 per cell]
2 Sm 0.0000 0.3374 0.0000 [2 per cell]
3 Sm 0.0000 0.6747 0.0000 [2 per cell]
4 Sm 0.0000 0.6754 0.5000 [2 per cell]
5 Sm 0.0000 0.9993 0.5000 [2 per cell]
6 Sm 0.1610 0.1727 0.7469 [4 per cell]
7 Sm 0.1608 0.5022 0.7469 [4 per cell]
8 Sc 0.0000 0.3374 0.5000 [2 per cell]
9 Sc 0.1684 0.8373 0.7469 [4 per cell]

---

PuAgO4: computed powder X-ray diffraction pattern (λ = 1.5418 Å (Cu Kα)), based on a DFT-relaxed cell (GGA-PBE, Alexandria).

The 10 most intense peaks (5° ≤ 2θ ≤ 70°), sorted by position:
- d = 5.043 Å, I = 60, hkl 1 1 0
- d = 3.660 Å, I = 96, hkl 0 2 0
- d = 3.479 Å, I = 91, hkl 2 0 0
- d = 2.905 Å, I = 100, hkl 1 1 -1
- d = 2.840 Å, I = 90, hkl 1 1 1
- d = 2.522 Å, I = 53, hkl 2 2 0
- d = 1.932 Å, I = 32, hkl 1 3 -1
- d = 1.913 Å, I = 30, hkl 1 3 1
- d = 1.896 Å, I = 36, hkl 3 1 -1
- d = 1.842 Å, I = 34, hkl 3 1 1

Atomic structure:
abc: 6.9615 7.3197 3.4960
angles: 90.00 91.92 90.00
Space group C2/m (No. 12)
Symmetry-distinct sites (fractional):
1 Pu 0.0000 0.0000 0.0000 [2 per cell]
2 Ag 0.0000 0.5000 0.5000 [2 per cell]
3 O 0.0000 0.2532 0.0000 [4 per cell]
4 O 0.1828 0.0000 0.4829 [4 per cell]

---

Cs2TeSeBr6: computed powder X-ray diffraction pattern (λ = 1.5418 Å (Cu Kα)), based on a DFT-relaxed cell (GGA-PBE, Alexandria).

The 10 most intense peaks (5° ≤ 2θ ≤ 70°), sorted by position:
- d = 4.074 Å, I = 24, hkl 2 0 0
- d = 4.024 Å, I = 46, hkl 1 1 2
- d = 3.299 Å, I = 95, hkl 2 0 2
- d = 2.881 Å, I = 100, hkl 2 2 0
- d = 2.812 Å, I = 47, hkl 0 0 4
- d = 2.342 Å, I = 22, hkl 3 1 2
- d = 2.037 Å, I = 36, hkl 4 0 0
- d = 2.012 Å, I = 70, hkl 2 2 4
- d = 1.733 Å, I = 28, hkl 4 2 2
- d = 1.650 Å, I = 37, hkl 4 0 4

Atomic structure:
abc: 8.1481 8.1481 11.2466
angles: 90.00 90.00 90.00
Space group I4/mmm (No. 139)
Symmetry-distinct sites (fractional):
1 Cs 0.0000 0.5000 0.2500 [4 per cell]
2 Te 0.0000 0.0000 0.0000 [2 per cell]
3 Se 0.0000 0.0000 0.5000 [2 per cell]
4 Br 0.0000 0.0000 0.2551 [4 per cell]
5 Br 0.2477 0.2477 0.0000 [8 per cell]